# 1
This entry pairs a crystal structure of AsCl4 with its computed X-ray powder pattern. Radiation: λ = 1.5418 Å (Cu Kα). Structure: a crystal structure in Alexandria, relaxed with GGA-PBE.

```
data_AsCl4
_cell_length_a 6.5778
_cell_length_b 6.5778
_cell_length_c 9.9022
_cell_angle_alpha 90.00
_cell_angle_beta 90.00
_cell_angle_gamma 90.00
_space_group_name_H-M_alt 'P -4 21 c'
_space_group_IT_number 114
_space_group_name_Hall 'P -4 2n'
loop_
_atom_site_label
_atom_site_type_symbol
_atom_site_fract_x
_atom_site_fract_y
_atom_site_fract_z
_atom_site_occupancy
As1 As 0.0000 0.0000 0.0000 1
Cl1 Cl 0.1911 0.2021 0.8692 1
```

Main lines, sorted by position (10 to 90 degrees two-theta):
d 5.479, 2θ = 16.2°, intensity 100, hkl 1 0 1
d 4.651, 2θ = 19.1°, intensity 24, hkl 1 1 0
d 3.390, 2θ = 26.3°, intensity 57, hkl 1 1 2
d 2.820, 2θ = 31.7°, intensity 20, hkl 2 1 1
d 2.326, 2θ = 38.7°, intensity 11, hkl 2 2 0
d 2.196, 2θ = 41.1°, intensity 20, hkl 2 1 3
d 1.978, 2θ = 45.9°, intensity 18, hkl 2 0 4
d 1.918, 2θ = 47.4°, intensity 11, hkl 3 1 2
d 1.826, 2θ = 49.9°, intensity 11, hkl 3 0 3
d 1.794, 2θ = 50.9°, intensity 15, hkl 3 2 1

# 2
This entry pairs a crystal structure of U5Si3 with its computed X-ray powder pattern. Radiation: λ = 1.5418 Å (Cu Kα). Structure: a crystal structure in Alexandria, relaxed with GGA-PBE.

```
data_U5Si3
_cell_length_a 5.5341
_cell_length_b 16.0081
_cell_length_c 14.3089
_cell_angle_alpha 90.00
_cell_angle_beta 90.00
_cell_angle_gamma 90.00
_space_group_name_H-M_alt 'F d d 2'
_space_group_IT_number 43
_space_group_name_Hall 'F 2 -2d'
loop_
_atom_site_label
_atom_site_type_symbol
_atom_site_fract_x
_atom_site_fract_y
_atom_site_fract_z
_atom_site_occupancy
U1 U 0.0000 0.0000 0.0000 1
U2 U 0.0023 0.3383 0.1337 1
U3 U 0.1038 0.1852 0.4465 1
Si1 Si 0.0000 0.0000 0.5401 1
Si2 Si 0.0380 0.1734 0.0505 1
```

Main lines, sorted by position (10 to 90 degrees two-theta):
d 3.710, 2θ = 24.0°, intensity 100, hkl 1 3 1
d 3.577, 2θ = 24.9°, intensity 14, hkl 0 0 4
d 2.667, 2θ = 33.6°, intensity 16, hkl 0 4 4
d 2.581, 2θ = 34.8°, intensity 16, hkl 2 0 2
d 2.511, 2θ = 35.8°, intensity 25, hkl 1 1 5
d 2.500, 2θ = 35.9°, intensity 18, hkl 0 6 2
d 2.295, 2θ = 39.3°, intensity 27, hkl 1 3 5
d 2.286, 2θ = 39.4°, intensity 13, hkl 0 2 6
d 1.932, 2θ = 47.0°, intensity 14, hkl 1 7 3
d 1.921, 2θ = 47.3°, intensity 25, hkl 2 6 0

# 3
This entry pairs a crystal structure of PmGa4NiPt2 with its computed X-ray powder pattern. Radiation: λ = 1.5418 Å (Cu Kα). Structure: a crystal structure in Alexandria, relaxed with GGA-PBE.

```
data_PmGa4NiPt2
_cell_length_a 4.2684
_cell_length_b 4.2684
_cell_length_c 26.1474
_cell_angle_alpha 90.00
_cell_angle_beta 90.00
_cell_angle_gamma 120.00
_space_group_name_H-M_alt 'R -3 m'
_space_group_IT_number 166
_space_group_name_Hall '-R 3 2"'
loop_
_atom_site_label
_atom_site_type_symbol
_atom_site_fract_x
_atom_site_fract_y
_atom_site_fract_z
_atom_site_occupancy
Pm1 Pm 0.0000 0.0000 0.0000 1
Ga1 Ga 0.0000 0.0000 0.1352 1
Ga2 Ga 0.0000 0.0000 0.4012 1
Ni1 Ni 0.0000 0.0000 0.5000 1
Pt1 Pt 0.0000 0.0000 0.2375 1
```

Main lines, sorted by position (10 to 90 degrees two-theta):
d 3.218, 2θ = 27.7°, intensity 39, hkl 1 0 4
d 3.019, 2θ = 29.6°, intensity 32, hkl 0 1 5
d 2.449, 2θ = 36.7°, intensity 89, hkl 0 1 8
d 2.134, 2θ = 42.4°, intensity 100, hkl 1 1 0
d 1.999, 2θ = 45.4°, intensity 24, hkl 0 1 11
d 1.767, 2θ = 51.7°, intensity 14, hkl 1 0 13
d 1.609, 2θ = 57.3°, intensity 24, hkl 2 0 8
d 1.525, 2θ = 60.7°, intensity 13, hkl 1 1 12
d 1.285, 2θ = 73.7°, intensity 23, hkl 1 2 8
d 1.232, 2θ = 77.5°, intensity 19, hkl 3 0 0

# 4
This entry pairs a crystal structure of B5SbRh12 with its computed X-ray powder pattern. Radiation: λ = 1.5418 Å (Cu Kα). Structure: a crystal structure in Alexandria, relaxed with GGA-PBE.

```
data_B5SbRh12
_cell_length_a 7.4422
_cell_length_b 7.6046
_cell_length_c 7.9227
_cell_angle_alpha 90.00
_cell_angle_beta 90.00
_cell_angle_gamma 90.00
_space_group_name_H-M_alt 'I m m m'
_space_group_IT_number 71
_space_group_name_Hall '-I 2 2'
loop_
_atom_site_label
_atom_site_type_symbol
_atom_site_fract_x
_atom_site_fract_y
_atom_site_fract_z
_atom_site_occupancy
B1 B 0.0000 0.0000 0.0000 1
B2 B 0.0000 0.3772 0.0000 1
B3 B 0.0000 0.5000 0.3853 1
Sb1 Sb 0.0000 0.0000 0.5000 1
Rh1 Rh 0.0000 0.1837 0.1942 1
Rh2 Rh 0.1881 0.3112 0.5000 1
Rh3 Rh 0.1882 0.5000 0.1833 1
```

Main lines, sorted by position (10 to 90 degrees two-theta):
d 2.490, 2θ = 36.1°, intensity 81, hkl 1 0 3
d 2.414, 2θ = 37.2°, intensity 69, hkl 0 3 1
d 2.358, 2θ = 38.2°, intensity 68, hkl 3 1 0
d 2.208, 2θ = 40.9°, intensity 100, hkl 2 2 2
d 2.072, 2θ = 43.7°, intensity 65, hkl 2 1 3
d 2.052, 2θ = 44.1°, intensity 66, hkl 1 3 2
d 2.010, 2θ = 45.1°, intensity 56, hkl 3 2 1
d 1.297, 2θ = 73.0°, intensity 45, hkl 3 5 0
d 1.260, 2θ = 75.4°, intensity 27, hkl 3 2 5
d 1.221, 2θ = 78.3°, intensity 28, hkl 5 3 2

# 5
This entry pairs a crystal structure of LaScIrPd with its computed X-ray powder pattern. Radiation: λ = 1.5418 Å (Cu Kα). Structure: a crystal structure in Alexandria, relaxed with GGA-PBE.

```
data_LaScIrPd
_cell_length_a 6.9323
_cell_length_b 6.9323
_cell_length_c 6.9323
_cell_angle_alpha 90.00
_cell_angle_beta 90.00
_cell_angle_gamma 90.00
_space_group_name_H-M_alt 'F -4 3 m'
_space_group_IT_number 216
_space_group_name_Hall 'F -4 2 3'
loop_
_atom_site_label
_atom_site_type_symbol
_atom_site_fract_x
_atom_site_fract_y
_atom_site_fract_z
_atom_site_occupancy
La1 La 0.0000 0.0000 0.0000 1
Sc1 Sc 0.0000 0.0000 0.5000 1
Ir1 Ir 0.2500 0.2500 0.2500 1
Pd1 Pd 0.2500 0.2500 0.7500 1
```

Main lines, sorted by position (10 to 90 degrees two-theta):
d 4.002, 2θ = 22.2°, intensity 15, hkl 1 1 1
d 3.466, 2θ = 25.7°, intensity 7, hkl 2 0 0
d 2.451, 2θ = 36.7°, intensity 100, hkl 2 2 0
d 2.090, 2θ = 43.3°, intensity 8, hkl 3 1 1
d 1.733, 2θ = 52.8°, intensity 17, hkl 4 0 0
d 1.590, 2θ = 58.0°, intensity 4, hkl 3 3 1
d 1.550, 2θ = 59.6°, intensity 3, hkl 4 2 0
d 1.415, 2θ = 66.0°, intensity 35, hkl 4 2 2
d 1.225, 2θ = 78.0°, intensity 11, hkl 4 4 0
d 1.096, 2θ = 89.4°, intensity 16, hkl 6 2 0

# 6
This entry pairs a crystal structure of Pm2SmDyY6 with its computed X-ray powder pattern. Radiation: λ = 1.5418 Å (Cu Kα). Structure: a crystal structure in Alexandria, relaxed with GGA-PBE.

```
data_Pm2SmDyY6
_cell_length_a 9.1091
_cell_length_b 15.0723
_cell_length_c 9.7839
_cell_angle_alpha 90.00
_cell_angle_beta 99.46
_cell_angle_gamma 90.00
_space_group_name_H-M_alt 'C 1 2/c 1'
_space_group_IT_number 15
_space_group_name_Hall '-C 2yc'
loop_
_atom_site_label
_atom_site_type_symbol
_atom_site_fract_x
_atom_site_fract_y
_atom_site_fract_z
_atom_site_occupancy
Pm1 Pm 0.2439 0.0499 0.0445 1
Sm1 Sm 0.0000 0.0191 0.7500 1
Dy1 Dy 0.0000 0.4070 0.2500 1
Y1 Y 0.0669 0.1887 0.4431 1
Y2 Y 0.0991 0.3949 0.6183 1
Y3 Y 0.2040 0.2229 0.8149 1
```

Main lines, sorted by position (10 to 90 degrees two-theta):
d 7.536, 2θ = 11.7°, intensity 24, hkl 0 2 0
d 3.245, 2θ = 27.5°, intensity 30, hkl 2 2 -2
d 3.123, 2θ = 28.6°, intensity 47, hkl 1 3 2
d 2.959, 2θ = 30.2°, intensity 54, hkl 0 2 3
d 2.946, 2θ = 30.3°, intensity 56, hkl 3 1 -1
d 2.854, 2θ = 31.3°, intensity 100, hkl 1 5 0
d 2.826, 2θ = 31.7°, intensity 81, hkl 2 2 2
d 2.780, 2θ = 32.2°, intensity 27, hkl 1 5 -1
d 2.700, 2θ = 33.2°, intensity 63, hkl 1 3 -3
d 2.402, 2θ = 37.4°, intensity 19, hkl 1 1 -4

# 7
This entry pairs a crystal structure of Ho3Co6Si2 with its computed X-ray powder pattern. Radiation: λ = 1.5418 Å (Cu Kα). Structure: a crystal structure in Alexandria, relaxed with GGA-PBE.

```
data_Ho3Co6Si2
_cell_length_a 8.6918
_cell_length_b 8.6918
_cell_length_c 8.6918
_cell_angle_alpha 90.00
_cell_angle_beta 90.00
_cell_angle_gamma 90.00
_space_group_name_H-M_alt 'I m -3 m'
_space_group_IT_number 229
_space_group_name_Hall '-I 4 2 3'
loop_
_atom_site_label
_atom_site_type_symbol
_atom_site_fract_x
_atom_site_fract_y
_atom_site_fract_z
_atom_site_occupancy
Ho1 Ho 0.0000 0.0000 0.2851 1
Co1 Co 0.0000 0.3362 0.3362 1
Si1 Si 0.2500 0.2500 0.2500 1
```

Main lines, sorted by position (10 to 90 degrees two-theta):
d 3.548, 2θ = 25.1°, intensity 24, hkl 2 1 1
d 2.749, 2θ = 32.6°, intensity 41, hkl 3 1 0
d 2.509, 2θ = 35.8°, intensity 37, hkl 2 2 2
d 2.323, 2θ = 38.8°, intensity 31, hkl 3 2 1
d 2.173, 2θ = 41.6°, intensity 23, hkl 4 0 0
d 2.049, 2θ = 44.2°, intensity 100, hkl 3 3 0
d 1.587, 2θ = 58.1°, intensity 20, hkl 5 2 1
d 1.410, 2θ = 66.3°, intensity 20, hkl 5 3 2
d 1.310, 2θ = 72.1°, intensity 18, hkl 6 2 2
d 1.183, 2θ = 81.4°, intensity 24, hkl 6 3 3

# 8
This entry pairs a crystal structure of AgPdBr6 with its computed X-ray powder pattern. Radiation: λ = 1.5418 Å (Cu Kα). Structure: a crystal structure in Alexandria, relaxed with GGA-PBE.

```
data_AgPdBr6
_cell_length_a 6.3724
_cell_length_b 6.7201
_cell_length_c 6.8399
_cell_angle_alpha 65.17
_cell_angle_beta 62.92
_cell_angle_gamma 88.65
_space_group_name_H-M_alt 'P -1'
_space_group_IT_number 2
_space_group_name_Hall '-P 1'
loop_
_atom_site_label
_atom_site_type_symbol
_atom_site_fract_x
_atom_site_fract_y
_atom_site_fract_z
_atom_site_occupancy
Ag1 Ag 0.0000 0.0000 0.0000 1
Pd1 Pd 0.5000 0.5000 0.0000 1
Br1 Br 0.1010 0.2519 0.1706 1
Br2 Br 0.2535 0.7416 0.1788 1
Br3 Br 0.4732 0.2789 0.4122 1
```

Main lines, sorted by position (10 to 90 degrees two-theta):
d 5.411, 2θ = 16.4°, intensity 70, hkl 0 0 1
d 4.659, 2θ = 19.0°, intensity 40, hkl 1 1 1
d 4.563, 2θ = 19.5°, intensity 35, hkl 1 -1 0
d 3.699, 2θ = 24.1°, intensity 40, hkl 1 1 0
d 3.172, 2θ = 28.1°, intensity 66, hkl 1 0 -1
d 2.848, 2θ = 31.4°, intensity 32, hkl 2 1 1
d 2.803, 2θ = 31.9°, intensity 36, hkl 1 2 2
d 2.775, 2θ = 32.3°, intensity 100, hkl -1 2 1
d 2.381, 2θ = 37.8°, intensity 45, hkl 1 -1 2
d 2.214, 2θ = 40.8°, intensity 42, hkl 2 2 1

# 9
This entry pairs a crystal structure of CaNdZnN2 with its computed X-ray powder pattern. Radiation: λ = 1.5418 Å (Cu Kα). Structure: a crystal structure in Alexandria, relaxed with GGA-PBE.

```
data_CaNdZnN2
_cell_length_a 5.2221
_cell_length_b 5.5417
_cell_length_c 6.6773
_cell_angle_alpha 90.00
_cell_angle_beta 90.00
_cell_angle_gamma 90.00
_space_group_name_H-M_alt 'P c c m'
_space_group_IT_number 49
_space_group_name_Hall '-P 2 2c'
loop_
_atom_site_label
_atom_site_type_symbol
_atom_site_fract_x
_atom_site_fract_y
_atom_site_fract_z
_atom_site_occupancy
Ca1 Ca 0.0000 0.0000 0.2500 1
Nd1 Nd 0.5000 0.5000 0.2500 1
Zn1 Zn 0.5000 0.0000 0.0000 1
N1 N 0.2650 0.2540 0.0000 1
```

Main lines, sorted by position (10 to 90 degrees two-theta):
d 5.222, 2θ = 17.0°, intensity 73, hkl 1 0 0
d 3.801, 2θ = 23.4°, intensity 30, hkl 1 1 0
d 2.860, 2θ = 31.3°, intensity 32, hkl 0 1 2
d 2.771, 2θ = 32.3°, intensity 26, hkl 0 2 0
d 2.611, 2θ = 34.3°, intensity 23, hkl 2 0 0
d 2.508, 2θ = 35.8°, intensity 100, hkl 1 1 2
d 2.448, 2θ = 36.7°, intensity 21, hkl 1 2 0
d 1.928, 2θ = 47.1°, intensity 21, hkl 2 1 2
d 1.900, 2θ = 47.9°, intensity 26, hkl 2 2 0
d 1.544, 2θ = 59.9°, intensity 22, hkl 1 3 2

# 10
This entry pairs a crystal structure of LiAl4Zn2O8 with its computed X-ray powder pattern. Radiation: λ = 1.5418 Å (Cu Kα). Structure: a crystal structure in Alexandria, relaxed with GGA-PBE.

```
data_LiAl4Zn2O8
_cell_length_a 5.6893
_cell_length_b 5.7775
_cell_length_c 9.4827
_cell_angle_alpha 90.00
_cell_angle_beta 90.00
_cell_angle_gamma 90.00
_space_group_name_H-M_alt 'I m m 2'
_space_group_IT_number 44
_space_group_name_Hall 'I 2 -2'
loop_
_atom_site_label
_atom_site_type_symbol
_atom_site_fract_x
_atom_site_fract_y
_atom_site_fract_z
_atom_site_occupancy
Li1 Li 0.0000 0.0000 0.0000 1
Al1 Al 0.0000 0.0000 0.7576 1
Al2 Al 0.0000 0.5000 0.0417 1
Al3 Al 0.2457 0.5000 0.7137 1
Zn1 Zn 0.0000 0.2678 0.4346 1
O1 O 0.0000 0.2162 0.1490 1
O2 O 0.0000 0.2850 0.6697 1
O3 O 0.2441 0.5000 0.9099 1
O4 O 0.2450 0.0000 0.8749 1
```

Main lines, sorted by position (10 to 90 degrees two-theta):
d 4.879, 2θ = 18.2°, intensity 83, hkl 1 0 1
d 4.741, 2θ = 18.7°, intensity 27, hkl 0 0 2
d 2.845, 2θ = 31.4°, intensity 26, hkl 2 0 0
d 2.763, 2θ = 32.4°, intensity 83, hkl 1 0 3
d 2.486, 2θ = 36.1°, intensity 100, hkl 1 2 1
d 2.466, 2θ = 36.4°, intensity 35, hkl 0 2 2
d 2.371, 2θ = 38.0°, intensity 38, hkl 0 0 4
d 2.027, 2θ = 44.7°, intensity 55, hkl 2 2 0
d 1.997, 2θ = 45.4°, intensity 23, hkl 1 2 3
d 1.541, 2θ = 60.1°, intensity 56, hkl 2 2 4

# 11
This entry pairs a crystal structure of Tb4PmSm2Er with its computed X-ray powder pattern. Radiation: λ = 1.5418 Å (Cu Kα). Structure: a crystal structure in Alexandria, relaxed with GGA-PBE.

```
data_Tb4PmSm2Er
_cell_length_a 13.6598
_cell_length_b 13.2874
_cell_length_c 6.8333
_cell_angle_alpha 90.00
_cell_angle_beta 120.00
_cell_angle_gamma 90.00
_space_group_name_H-M_alt 'C 1 2/c 1'
_space_group_IT_number 15
_space_group_name_Hall '-C 2yc'
loop_
_atom_site_label
_atom_site_type_symbol
_atom_site_fract_x
_atom_site_fract_y
_atom_site_fract_z
_atom_site_occupancy
Tb1 Tb 0.0000 0.2462 0.0002 1
Tb2 Tb 0.2468 0.0001 0.4947 1
Pm1 Pm 0.2500 0.2500 0.0000 1
Sm1 Sm 0.0000 0.5000 0.0000 1
Sm2 Sm 0.2500 0.2500 0.5000 1
Er1 Er 0.0000 0.0000 0.0000 1
```

Main lines, sorted by position (10 to 90 degrees two-theta):
d 3.322, 2θ = 26.8°, intensity 45, hkl 0 4 0
d 2.958, 2θ = 30.2°, intensity 100, hkl 4 0 0
d 2.209, 2θ = 40.8°, intensity 29, hkl 0 4 2
d 2.209, 2θ = 40.9°, intensity 59, hkl 4 4 0
d 1.708, 2θ = 53.7°, intensity 20, hkl 8 0 -2
d 1.519, 2θ = 61.0°, intensity 27, hkl 8 4 -2
d 1.479, 2θ = 62.8°, intensity 12, hkl 8 0 -4
d 1.448, 2θ = 64.3°, intensity 23, hkl 4 8 0
d 1.351, 2θ = 69.6°, intensity 12, hkl 8 4 -4
d 1.191, 2θ = 80.7°, intensity 12, hkl 8 8 -2

# 12
This entry pairs a crystal structure of Lu2TiAu with its computed X-ray powder pattern. Radiation: λ = 1.5418 Å (Cu Kα). Structure: a crystal structure in Alexandria, relaxed with GGA-PBE.

```
data_Lu2TiAu
_cell_length_a 3.3481
_cell_length_b 3.3481
_cell_length_c 8.0007
_cell_angle_alpha 90.00
_cell_angle_beta 90.00
_cell_angle_gamma 90.00
_space_group_name_H-M_alt 'P 4/m m m'
_space_group_IT_number 123
_space_group_name_Hall '-P 4 2'
loop_
_atom_site_label
_atom_site_type_symbol
_atom_site_fract_x
_atom_site_fract_y
_atom_site_fract_z
_atom_site_occupancy
Lu1 Lu 0.0000 0.0000 0.2414 1
Ti1 Ti 0.5000 0.5000 0.5000 1
Au1 Au 0.5000 0.5000 0.0000 1
```

Main lines, sorted by position (10 to 90 degrees two-theta):
d 8.001, 2θ = 11.1°, intensity 28, hkl 0 0 1
d 3.089, 2θ = 28.9°, intensity 8, hkl 1 0 1
d 2.568, 2θ = 34.9°, intensity 100, hkl 1 0 2
d 2.367, 2θ = 38.0°, intensity 40, hkl 1 1 0
d 2.000, 2θ = 45.3°, intensity 12, hkl 0 0 4
d 1.674, 2θ = 54.8°, intensity 14, hkl 2 0 0
d 1.528, 2θ = 60.6°, intensity 20, hkl 1 1 4
d 1.402, 2θ = 66.7°, intensity 31, hkl 2 1 2
d 1.284, 2θ = 73.8°, intensity 11, hkl 2 0 4
d 1.239, 2θ = 77.0°, intensity 10, hkl 1 0 6

# 13
This entry pairs a crystal structure of Li3MgF6 with its computed X-ray powder pattern. Radiation: λ = 1.5418 Å (Cu Kα). Structure: a crystal structure in Alexandria, relaxed with GGA-PBE.

```
data_Li3MgF6
_cell_length_a 5.1022
_cell_length_b 5.1022
_cell_length_c 13.7805
_cell_angle_alpha 90.00
_cell_angle_beta 90.00
_cell_angle_gamma 120.00
_space_group_name_H-M_alt 'R 3'
_space_group_IT_number 146
_space_group_name_Hall 'R 3'
loop_
_atom_site_label
_atom_site_type_symbol
_atom_site_fract_x
_atom_site_fract_y
_atom_site_fract_z
_atom_site_occupancy
Li1 Li 0.0000 0.0000 0.0000 1
Li2 Li 0.0000 0.0000 0.2021 1
Li3 Li 0.0000 0.0000 0.4933 1
Mg1 Mg 0.0000 0.0000 0.6998 1
F1 F 0.0221 0.3494 0.7688 1
F2 F 0.0289 0.6694 0.2721 1
```

Main lines, sorted by position (10 to 90 degrees two-theta):
d 4.593, 2θ = 19.3°, intensity 7, hkl 0 0 3
d 4.208, 2θ = 21.1°, intensity 15, hkl 1 0 1
d 3.720, 2θ = 23.9°, intensity 21, hkl 0 1 2
d 2.297, 2θ = 39.2°, intensity 13, hkl 0 0 6
d 2.230, 2θ = 40.4°, intensity 100, hkl 2 -1 3
d 1.860, 2θ = 49.0°, intensity 8, hkl 0 2 4
d 1.707, 2θ = 53.7°, intensity 31, hkl 2 -1 6
d 1.473, 2θ = 63.1°, intensity 23, hkl 3 0 0
d 1.313, 2θ = 71.9°, intensity 12, hkl 1 1 9
d 1.229, 2θ = 77.7°, intensity 7, hkl 2 2 3